For RbGaHg2S4, a structure optimized by DFT (PBE) gives the calculated powder diffractogram in this record (Cu Kα (weighted mean of Kα1 and Kα2)).

Cell and atoms:
a b c (Å): 6.808 6.808 9.132
angles (deg): 90.00 90.00 90.00
Space group I-42m (No. 121)
Unique sites:
Rb: 0.000 0.000 0.000 (multiplicity 2)
Ga: 0.000 0.000 0.500 (multiplicity 2)
Hg: 0.000 0.500 0.250 (multiplicity 4)
S: 0.197 0.197 0.641 (multiplicity 8)

Top 10 peaks for 2θ = 10–90°, by intensity:
- hkl 1 1 2, 2θ = 26.91°, I 100.0
- hkl 3 1 2, 2θ = 46.64°, I 45.7
- hkl 2 0 0, 2θ = 26.18°, I 33.5
- hkl 2 0 4, 2θ = 47.98°, I 27.2
- hkl 2 2 0, 2θ = 37.36°, I 26.9
- hkl 1 1 0, 2θ = 18.43°, I 17.9
- hkl 4 2 4, 2θ = 74.98°, I 11.8
- hkl 0 0 2, 2θ = 19.44°, I 11.6
- hkl 5 1 2, 2θ = 73.96°, I 11.1
- hkl 2 2 4, 2θ = 55.47°, I 10.2